Record 1
Theoretical PXRD pattern
Compound: Ca2TaInO6
Radiation: Cu Kα (λ = 1.5418 Å)
Structure: a DFT-relaxed cell (GGA-PBE, the Materials Project)
Peak positions follow from Bragg's law for the DFT cell and can differ from measured ones.

Most intense lines, 10° ≤ 2θ ≤ 90°, low angle first:
22.2°, 4.009 Å, intensity 82; 31.0°, 2.888 Å, intensity 25; 31.6°, 2.834 Å, intensity 100; 32.1°, 2.787 Å, intensity 22; 45.2°, 2.005 Å, intensity 38; 50.9°, 1.793 Å, intensity 27; 55.5°, 1.657 Å, intensity 18; 55.9°, 1.646 Å, intensity 12; 56.6°, 1.626 Å, intensity 11; 56.9°, 1.618 Å, intensity 24; 65.9°, 1.417 Å, intensity 13; 74.9°, 1.268 Å, intensity 11

Structural model:
a b c (Å): 5.574 5.776 9.758
angles (deg): 90.00 124.81 90.00
Element x y z (fractional)
Ca (0.236, 0.055, 0.250)
Ca (0.236, 0.445, 0.750)
Ca (0.764, 0.555, 0.250)
Ca (0.764, 0.945, 0.750)
Ta (0.500, 0.000, 0.000)
Ta (0.500, 0.500, 0.500)
In (0.000, 0.000, 0.500)
In (0.000, 0.500, 0.000)
O (0.155, 0.189, 0.946)
O (0.155, 0.311, 0.446)
O (0.257, 0.711, 0.941)
O (0.257, 0.789, 0.441)
O (0.369, 0.039, 0.762)
O (0.369, 0.461, 0.262)
O (0.631, 0.539, 0.738)
O (0.631, 0.961, 0.238)
O (0.743, 0.211, 0.559)
O (0.743, 0.289, 0.059)
O (0.845, 0.689, 0.554)
O (0.845, 0.811, 0.054)

---

Record 2
Theoretical PXRD pattern
Compound: NdSbPt
Radiation: Cu Kα (λ = 1.5418 Å)
Structure: a DFT-relaxed cell (GGA-PBE, the Materials Project)
Peak positions follow from Bragg's law for the DFT cell and can differ from measured ones.

Most intense lines, 10° ≤ 2θ ≤ 90°, low angle first:
22.0°, 4.038 Å, intensity 13; 25.0°, 3.566 Å, intensity 13; 31.6°, 2.832 Å, intensity 100; 39.3°, 2.294 Å, intensity 70; 40.5°, 2.229 Å, intensity 14; 44.9°, 2.019 Å, intensity 10; 45.5°, 1.995 Å, intensity 11; 51.2°, 1.783 Å, intensity 26; 61.1°, 1.516 Å, intensity 24; 66.4°, 1.408 Å, intensity 24; 71.2°, 1.325 Å, intensity 12; 88.2°, 1.108 Å, intensity 14

Structural model:
a b c (Å): 4.589 4.589 8.076
angles (deg): 90.00 90.00 120.00
Element x y z (fractional)
Nd (0.000, 0.000, 0.000)
Nd (0.000, 0.000, 0.500)
Sb (0.333, 0.667, 0.262)
Sb (0.667, 0.333, 0.762)
Pt (0.333, 0.667, 0.704)
Pt (0.667, 0.333, 0.204)

---

Record 3
Theoretical PXRD pattern
Compound: Pr2Ni2Sn
Radiation: Cu Kα (λ = 1.5418 Å)
Structure: a DFT-relaxed cell (GGA-PBE, the Materials Project)
Peak positions follow from Bragg's law for the DFT cell and can differ from measured ones.

Most intense lines, 10° ≤ 2θ ≤ 90°, low angle first:
31.1°, 2.878 Å, intensity 16; 33.1°, 2.710 Å, intensity 100; 35.1°, 2.558 Å, intensity 28; 37.5°, 2.396 Å, intensity 12; 37.7°, 2.389 Å, intensity 13; 38.8°, 2.320 Å, intensity 45; 41.0°, 2.203 Å, intensity 27; 55.0°, 1.669 Å, intensity 15; 57.9°, 1.593 Å, intensity 12; 67.0°, 1.396 Å, intensity 23; 69.6°, 1.351 Å, intensity 13; 73.4°, 1.291 Å, intensity 12

Structural model:
a b c (Å): 5.611 5.611 5.611
angles (deg): 133.76 118.29 80.47
Element x y z (fractional)
Pr (0.203, 0.203, 0.000)
Pr (0.797, 0.797, 0.000)
Ni (0.214, 0.500, 0.714)
Ni (0.786, 0.500, 0.286)
Sn (0.500, 0.000, 0.500)

---

Record 4
Theoretical PXRD pattern
Compound: CuH8C4N2O6
Radiation: Cu Kα (λ = 1.5418 Å)
Structure: a DFT-relaxed cell (GGA-PBE, the Materials Project)
Peak positions follow from Bragg's law for the DFT cell and can differ from measured ones.

Most intense lines, 10° ≤ 2θ ≤ 90°, low angle first:
12.1°, 7.303 Å, intensity 85; 16.5°, 5.359 Å, intensity 100; 16.9°, 5.234 Å, intensity 31; 22.0°, 4.037 Å, intensity 18; 22.2°, 3.999 Å, intensity 17; 24.4°, 3.652 Å, intensity 35; 24.5°, 3.635 Å, intensity 26; 25.7°, 3.463 Å, intensity 31; 31.5°, 2.841 Å, intensity 12; 35.0°, 2.562 Å, intensity 21; 35.4°, 2.533 Å, intensity 17; 36.9°, 2.434 Å, intensity 14

Structural model:
a b c (Å): 8.177 7.998 8.084
angles (deg): 90.00 116.73 90.00
Element x y z (fractional)
Cu (0.000, 0.000, 0.000)
Cu (0.000, 0.500, 0.500)
H (0.090, 0.217, 0.333)
H (0.090, 0.283, 0.833)
H (0.260, 0.629, 0.138)
H (0.260, 0.871, 0.638)
H (0.343, 0.543, 0.365)
H (0.343, 0.957, 0.865)
H (0.449, 0.138, 0.345)
H (0.449, 0.362, 0.845)
H (0.551, 0.638, 0.155)
H (0.551, 0.862, 0.655)
H (0.657, 0.043, 0.135)
H (0.657, 0.457, 0.635)
H (0.740, 0.129, 0.362)
H (0.740, 0.371, 0.862)
H (0.910, 0.717, 0.167)
H (0.910, 0.783, 0.667)
C (0.008, 0.709, 0.786)
C (0.008, 0.791, 0.286)
C (0.462, 0.094, 0.221)
C (0.462, 0.406, 0.721)
C (0.538, 0.594, 0.279)
C (0.538, 0.906, 0.779)
C (0.992, 0.209, 0.714)
C (0.992, 0.291, 0.214)
N (0.366, 0.585, 0.256)
N (0.366, 0.915, 0.756)
N (0.634, 0.085, 0.244)
N (0.634, 0.415, 0.744)
O (0.061, 0.733, 0.449)
O (0.061, 0.767, 0.949)
O (0.066, 0.571, 0.756)
O (0.066, 0.929, 0.256)
O (0.324, 0.057, 0.075)
O (0.324, 0.443, 0.575)
O (0.676, 0.557, 0.425)
O (0.676, 0.943, 0.925)
O (0.934, 0.071, 0.744)
O (0.934, 0.429, 0.244)
O (0.939, 0.233, 0.051)
O (0.939, 0.267, 0.551)